Computed PXRD pattern
Compound: Cs3Na
Radiation: CuKα
Structure: a GGA-PBE-relaxed structure
Lines closer than 0.1° are merged.

Top 10 peaks for 5° ≤ 2θ ≤ 70°, low angle first:
d/Å  I/Imax
5.272  18
4.536  36
4.109  16
4.045  30
4.004  100
2.882  13
2.830  17
2.372  13
2.327  23
2.319  19

Cell and atoms:
Unit cell a=5.566 b=16.434 c=8.090 alpha=90.00 beta=90.00 gamma=90.00
Space group Imm2 (No. 44)
One atom of each set of equivalent atoms:
Cs1 0.000 0.000 0.000
Cs2 0.000 0.211 0.501
Na1 0.000 0.500 0.995